1.
Starting from a structure optimized by DFT (PBE), the X-ray powder pattern of BaCaAg2Cl8 was calculated for Cu Kα (λ = 1.5418 Å).

Principal peaks in the range 10 to 90 degrees two-theta, low angle first:
- 2θ = 22.07°, intensity 100
- 2θ = 22.94°, intensity 14
- 2θ = 25.46°, intensity 18
- 2θ = 29.37°, intensity 19
- 2θ = 31.36°, intensity 18
- 2θ = 36.43°, intensity 57
- 2θ = 42.90°, intensity 23
- 2θ = 43.05°, intensity 52
- 2θ = 45.01°, intensity 17
- 2θ = 59.30°, intensity 17

Cell and atoms:
Lattice parameters (Å, degrees): 8.5579 8.5579 8.5579 131.97 131.97 70.28
Fractional coordinates of all 12 atoms:
Ba  0.0000  0.0000  0.0000
Ca  0.2500  0.7500  0.5000
Ag  0.5000  0.5000  0.0000
Ag  0.7500  0.2500  0.5000
Cl  0.2775  0.4313  0.5663
Cl  0.2888  0.7225  0.1538
Cl  0.4008  0.0157  0.0369
Cl  0.5687  0.1350  0.8462
Cl  0.6360  0.5992  0.6148
Cl  0.8650  0.7112  0.4337
Cl  0.9788  0.3640  0.9631
Cl  0.9843  0.0212  0.3852

2.
Starting from a structure optimized by DFT (PBE), the X-ray powder pattern of BaCaAgF7 was calculated for Cu Kα (λ = 1.5418 Å).

Principal peaks in the range 10 to 90 degrees two-theta, low angle first:
- 2θ = 23.77°, intensity 100
- 2θ = 24.05°, intensity 32
- 2θ = 24.78°, intensity 44
- 2θ = 25.33°, intensity 65
- 2θ = 28.53°, intensity 29
- 2θ = 30.15°, intensity 34
- 2θ = 30.56°, intensity 27
- 2θ = 36.76°, intensity 36
- 2θ = 40.30°, intensity 27
- 2θ = 50.25°, intensity 33

Cell and atoms:
Lattice parameters (Å, degrees): 5.8518 11.0833 9.7850 90.00 91.39 90.00
Fractional coordinates of all 40 atoms:
Ba  0.2239  0.1505  0.4752
Ba  0.2239  0.3495  0.9752
Ba  0.7761  0.6505  0.0248
Ba  0.7761  0.8495  0.5248
Ca  0.2025  0.5694  0.3571
Ca  0.2025  0.9306  0.8571
Ca  0.7975  0.0694  0.1429
Ca  0.7975  0.4306  0.6429
Ag  0.3030  0.6555  0.7031
Ag  0.3030  0.8445  0.2031
Ag  0.6970  0.1555  0.7969
Ag  0.6970  0.3445  0.2969
F  0.0033  0.7462  0.7744
F  0.0033  0.7538  0.2744
F  0.0871  0.5160  0.1475
F  0.0871  0.9840  0.6475
F  0.1566  0.5035  0.6010
F  0.1566  0.9965  0.1010
F  0.2007  0.7332  0.5148
F  0.2007  0.7668  0.0148
F  0.3897  0.1098  0.8974
F  0.3897  0.3902  0.3974
F  0.4175  0.5575  0.8756
F  0.4175  0.9425  0.3756
F  0.4894  0.6898  0.2712
F  0.4894  0.8102  0.7712
F  0.5106  0.1898  0.2288
F  0.5106  0.3102  0.7288
F  0.5825  0.0575  0.6244
F  0.5825  0.4425  0.1244
F  0.6103  0.6098  0.6026
F  0.6103  0.8902  0.1026
F  0.7993  0.2332  0.9852
F  0.7993  0.2668  0.4852
F  0.8434  0.0035  0.8990
F  0.8434  0.4965  0.3990
F  0.9129  0.0160  0.3525
F  0.9129  0.4840  0.8525
F  0.9967  0.2462  0.7256
F  0.9967  0.2538  0.2256

3.
Starting from a structure optimized by DFT (PBE), the X-ray powder pattern of Ba3Ca2Ag2Hg4 was calculated for Cu Kα (λ = 1.5418 Å).

Principal peaks in the range 10 to 90 degrees two-theta, low angle first:
- 2θ = 20.44°, intensity 18
- 2θ = 22.70°, intensity 45
- 2θ = 28.92°, intensity 100
- 2θ = 35.43°, intensity 79
- 2θ = 37.19°, intensity 18
- 2θ = 41.25°, intensity 19
- 2θ = 46.36°, intensity 27
- 2θ = 55.73°, intensity 34
- 2θ = 59.67°, intensity 26
- 2θ = 63.61°, intensity 14

Cell and atoms:
Lattice parameters (Å, degrees): 5.0673 5.0673 17.3812 90.00 90.00 120.00
Fractional coordinates of all 11 atoms:
Ba  0.0000  0.0000  0.0000
Ba  0.0000  0.0000  0.2453
Ba  0.0000  0.0000  0.7547
Ca  0.3333  0.6667  0.5673
Ca  0.6667  0.3333  0.4327
Ag  0.3333  0.6667  0.1241
Ag  0.6667  0.3333  0.8759
Hg  0.3333  0.6667  0.3700
Hg  0.3333  0.6667  0.8761
Hg  0.6667  0.3333  0.1239
Hg  0.6667  0.3333  0.6300

4.
Starting from a structure optimized by DFT (PBE), the X-ray powder pattern of BaCd10Ag2 was calculated for Cu Kα (λ = 1.5418 Å).

Principal peaks in the range 10 to 90 degrees two-theta, low angle first:
- 2θ = 30.27°, intensity 42
- 2θ = 34.68°, intensity 68
- 2θ = 34.99°, intensity 100
- 2θ = 35.89°, intensity 72
- 2θ = 38.94°, intensity 38
- 2θ = 39.21°, intensity 32
- 2θ = 40.03°, intensity 68
- 2θ = 58.11°, intensity 22
- 2θ = 62.37°, intensity 24
- 2θ = 62.95°, intensity 27

Cell and atoms:
Lattice parameters (Å, degrees): 10.3453 7.8599 7.8479 82.39 48.86 48.76
Fractional coordinates of all 13 atoms:
Ba  0.0000  0.0000  0.0000
Cd  0.0000  0.0000  0.5000
Cd  0.0089  0.3528  0.6472
Cd  0.2803  0.4943  0.5057
Cd  0.3528  0.0089  0.9911
Cd  0.4943  0.2803  0.7197
Cd  0.5000  0.5000  0.0000
Cd  0.5057  0.7197  0.2803
Cd  0.6472  0.9911  0.0089
Cd  0.7197  0.5057  0.4943
Cd  0.9911  0.6472  0.3528
Ag  0.0000  0.5000  0.0000
Ag  0.5000  0.0000  0.5000

5.
Starting from a structure optimized by DFT (PBE), the X-ray powder pattern of BaCd4Ag was calculated for Cu Kα (λ = 1.5418 Å).

Principal peaks in the range 10 to 90 degrees two-theta, low angle first:
- 2θ = 29.83°, intensity 100
- 2θ = 31.87°, intensity 44
- 2θ = 32.81°, intensity 19
- 2θ = 33.86°, intensity 51
- 2θ = 38.01°, intensity 41
- 2θ = 38.39°, intensity 35
- 2θ = 39.35°, intensity 25
- 2θ = 45.74°, intensity 11
- 2θ = 55.13°, intensity 24
- 2θ = 67.82°, intensity 13

Cell and atoms:
Lattice parameters (Å, degrees): 9.0361 9.0361 7.9350 90.00 90.00 149.63
Fractional coordinates of all 12 atoms:
Ba  0.1241  0.8759  0.7500
Ba  0.8759  0.1241  0.2500
Cd  0.0722  0.9278  0.2500
Cd  0.3225  0.6775  0.5621
Cd  0.3225  0.6775  0.9379
Cd  0.5000  0.5000  0.0000
Cd  0.5000  0.5000  0.5000
Cd  0.6775  0.3225  0.0621
Cd  0.6775  0.3225  0.4379
Cd  0.9278  0.0722  0.7500
Ag  0.2343  0.7657  0.2500
Ag  0.7657  0.2343  0.7500

6.
Starting from a structure optimized by DFT (PBE), the X-ray powder pattern of Ba2Cd9Ag6 was calculated for Cu Kα (λ = 1.5418 Å).

Principal peaks in the range 10 to 90 degrees two-theta, low angle first:
- 2θ = 16.93°, intensity 33
- 2θ = 29.54°, intensity 17
- 2θ = 34.24°, intensity 30
- 2θ = 35.19°, intensity 100
- 2θ = 37.91°, intensity 31
- 2θ = 39.29°, intensity 55
- 2θ = 51.99°, intensity 17
- 2θ = 56.13°, intensity 25
- 2θ = 61.30°, intensity 22
- 2θ = 74.39°, intensity 24

Cell and atoms:
Lattice parameters (Å, degrees): 6.0485 6.0485 14.2413 90.00 90.00 120.00
Fractional coordinates of all 17 atoms:
Ba  0.0000  0.0000  0.1686
Ba  0.0000  0.0000  0.8314
Cd  0.0000  0.5000  0.0000
Cd  0.0000  0.5000  0.3387
Cd  0.0000  0.5000  0.6613
Cd  0.5000  0.0000  0.0000
Cd  0.5000  0.0000  0.3387
Cd  0.5000  0.0000  0.6613
Cd  0.5000  0.5000  0.0000
Cd  0.5000  0.5000  0.3387
Cd  0.5000  0.5000  0.6613
Ag  0.3333  0.6667  0.1705
Ag  0.3333  0.6667  0.5000
Ag  0.3333  0.6667  0.8295
Ag  0.6667  0.3333  0.1705
Ag  0.6667  0.3333  0.5000
Ag  0.6667  0.3333  0.8295

7.
Starting from a structure optimized by DFT (PBE), the X-ray powder pattern of Ba2Cd5Ag4 was calculated for Cu Kα (λ = 1.5418 Å).

Principal peaks in the range 10 to 90 degrees two-theta, low angle first:
- 2θ = 12.92°, intensity 45
- 2θ = 23.31°, intensity 75
- 2θ = 31.06°, intensity 73
- 2θ = 33.74°, intensity 100
- 2θ = 35.32°, intensity 100
- 2θ = 35.74°, intensity 85
- 2θ = 35.96°, intensity 94
- 2θ = 38.72°, intensity 51
- 2θ = 40.69°, intensity 58
- 2θ = 60.48°, intensity 45

Cell and atoms:
Lattice parameters (Å, degrees): 7.6286 7.6286 9.1140 123.27 123.27 46.54
Fractional coordinates of all 11 atoms:
Ba  0.2206  0.2206  0.2778
Ba  0.7794  0.7794  0.7222
Cd  0.2141  0.7099  0.2479
Cd  0.2901  0.7859  0.7521
Cd  0.5000  0.5000  0.0000
Cd  0.7099  0.2141  0.2479
Cd  0.7859  0.2901  0.7521
Ag  0.1255  0.1255  0.5635
Ag  0.2690  0.2690  0.9428
Ag  0.7310  0.7310  0.0572
Ag  0.8745  0.8745  0.4365

8.
Starting from a structure optimized by DFT (PBE), the X-ray powder pattern of Ba3Cd8Ag3 was calculated for Cu Kα (λ = 1.5418 Å).

Principal peaks in the range 10 to 90 degrees two-theta, low angle first:
- 2θ = 25.66°, intensity 14
- 2θ = 30.60°, intensity 100
- 2θ = 31.01°, intensity 15
- 2θ = 33.06°, intensity 16
- 2θ = 35.87°, intensity 64
- 2θ = 37.33°, intensity 13
- 2θ = 39.67°, intensity 31
- 2θ = 52.70°, intensity 14
- 2θ = 57.69°, intensity 15
- 2θ = 61.22°, intensity 13

Cell and atoms:
Lattice parameters (Å, degrees): 9.3627 9.3627 9.3627 148.98 109.55 78.95
Fractional coordinates of all 14 atoms:
Ba  0.0000  0.0000  0.0000
Ba  0.3181  0.3181  0.0000
Ba  0.6819  0.6819  0.0000
Cd  0.0329  0.6768  0.3561
Cd  0.1660  0.8821  0.2840
Cd  0.3207  0.6768  0.6439
Cd  0.4019  0.1179  0.2840
Cd  0.5981  0.8821  0.7160
Cd  0.6793  0.3232  0.3561
Cd  0.8340  0.1179  0.7160
Cd  0.9671  0.3232  0.6439
Ag  0.2712  0.5000  0.7712
Ag  0.5000  0.0000  0.5000
Ag  0.7288  0.5000  0.2288

9.
Starting from a structure optimized by DFT (PBE), the X-ray powder pattern of Ba2Cd12Ag7 was calculated for Cu Kα (λ = 1.5418 Å).

Principal peaks in the range 10 to 90 degrees two-theta, low angle first:
- 2θ = 31.14°, intensity 100
- 2θ = 32.48°, intensity 26
- 2θ = 33.88°, intensity 30
- 2θ = 37.74°, intensity 85
- 2θ = 37.95°, intensity 52
- 2θ = 38.95°, intensity 51
- 2θ = 41.21°, intensity 17
- 2θ = 50.79°, intensity 14
- 2θ = 63.94°, intensity 14
- 2θ = 76.82°, intensity 15

Cell and atoms:
Lattice parameters (Å, degrees): 11.0262 11.0262 4.7418 90.00 90.00 120.00
Fractional coordinates of all 21 atoms:
Ba  0.0000  0.0000  0.0000
Ba  0.3333  0.6667  0.5000
Cd  0.0080  0.7233  0.5000
Cd  0.1625  0.3892  0.0000
Cd  0.2267  0.8375  0.0000
Cd  0.2767  0.2847  0.5000
Cd  0.3745  0.1670  0.0000
Cd  0.5561  0.1450  0.5000
Cd  0.5889  0.4439  0.5000
Cd  0.6108  0.7733  0.0000
Cd  0.7153  0.9920  0.5000
Cd  0.7925  0.6255  0.0000
Cd  0.8330  0.2075  0.0000
Cd  0.8550  0.4111  0.5000
Ag  0.0159  0.5465  0.0000
Ag  0.2484  0.0013  0.5000
Ag  0.4535  0.4694  0.0000
Ag  0.5306  0.9841  0.0000
Ag  0.6667  0.3333  0.0000
Ag  0.7530  0.7516  0.5000
Ag  0.9987  0.2470  0.5000

10.
Starting from a structure optimized by DFT (PBE), the X-ray powder pattern of Ba2Cd7Ag was calculated for Cu Kα (λ = 1.5418 Å).

Principal peaks in the range 10 to 90 degrees two-theta, low angle first:
- 2θ = 28.13°, intensity 50
- 2θ = 30.06°, intensity 100
- 2θ = 37.90°, intensity 60
- 2θ = 38.90°, intensity 32
- 2θ = 40.04°, intensity 33
- 2θ = 47.86°, intensity 23
- 2θ = 54.68°, intensity 20
- 2θ = 56.31°, intensity 24
- 2θ = 63.66°, intensity 22
- 2θ = 71.09°, intensity 15

Cell and atoms:
Lattice parameters (Å, degrees): 4.7478 4.7478 12.7906 90.00 90.00 90.00
Fractional coordinates of all 10 atoms:
Ba  0.0000  0.5000  0.2457
Ba  0.5000  0.0000  0.7543
Cd  0.0000  0.0000  0.0000
Cd  0.0000  0.0000  0.5000
Cd  0.0000  0.5000  0.6414
Cd  0.0000  0.5000  0.8685
Cd  0.5000  0.0000  0.1315
Cd  0.5000  0.0000  0.3586
Cd  0.5000  0.5000  0.5000
Ag  0.5000  0.5000  0.0000

11.
Starting from a structure optimized by DFT (PBE), the X-ray powder pattern of Ba2Cd4Ag3 was calculated for Cu Kα (λ = 1.5418 Å).

Principal peaks in the range 10 to 90 degrees two-theta, low angle first:
- 2θ = 29.64°, intensity 20
- 2θ = 29.92°, intensity 20
- 2θ = 33.82°, intensity 19
- 2θ = 34.25°, intensity 100
- 2θ = 35.01°, intensity 27
- 2θ = 36.23°, intensity 21
- 2θ = 37.93°, intensity 24
- 2θ = 55.60°, intensity 22
- 2θ = 60.85°, intensity 15
- 2θ = 72.17°, intensity 13

Cell and atoms:
Lattice parameters (Å, degrees): 9.3344 8.2594 6.0898 79.59 60.49 39.92
Fractional coordinates of all 9 atoms:
Ba  0.1356  0.1356  0.8644
Ba  0.8644  0.8644  0.1356
Cd  0.1701  0.5101  0.4899
Cd  0.4899  0.8299  0.1701
Cd  0.5101  0.1701  0.8299
Cd  0.8299  0.4899  0.5101
Ag  0.0000  0.0000  0.5000
Ag  0.5000  0.5000  0.0000
Ag  0.5000  0.5000  0.5000

12.
Starting from a structure optimized by DFT (PBE), the X-ray powder pattern of Ba3Cd5Ag6 was calculated for Cu Kα (λ = 1.5418 Å).

Principal peaks in the range 10 to 90 degrees two-theta, low angle first:
- 2θ = 25.79°, intensity 23
- 2θ = 31.05°, intensity 100
- 2θ = 31.49°, intensity 48
- 2θ = 31.67°, intensity 35
- 2θ = 33.88°, intensity 39
- 2θ = 35.87°, intensity 44
- 2θ = 36.48°, intensity 67
- 2θ = 37.12°, intensity 23
- 2θ = 39.94°, intensity 31
- 2θ = 59.52°, intensity 23

Cell and atoms:
Lattice parameters (Å, degrees): 9.2785 9.2785 9.2785 149.21 111.58 76.89
Fractional coordinates of all 14 atoms:
Ba  0.0000  0.0000  0.0000
Ba  0.3113  0.3113  0.0000
Ba  0.6887  0.6887  0.0000
Cd  0.0248  0.6750  0.3498
Cd  0.3252  0.6750  0.6502
Cd  0.5000  0.0000  0.5000
Cd  0.6748  0.3250  0.3498
Cd  0.9752  0.3250  0.6502
Ag  0.1604  0.8805  0.2799
Ag  0.2892  0.5000  0.7892
Ag  0.3993  0.1195  0.2799
Ag  0.6007  0.8805  0.7201
Ag  0.7108  0.5000  0.2108
Ag  0.8396  0.1195  0.7201